[1]
ZnFe2Sb: theoretical XRD peak list (Cu Kα, 1.54184 Å), based on DFT lattice parameters and positions (PBE).
Kinematic intensities with the Lorentz-polarization factor, no thermal factor.

Structure:
```
ZnFe2Sb
1.0
5.999 0.000 0.000
0.000 5.999 0.000
0.000 0.000 5.999
Zn Fe Sb
4 8 4
Direct
0.000 0.000 0.000
0.000 0.000 0.500
0.000 0.500 0.000
0.500 0.000 0.000
0.250 0.250 0.250
0.250 0.250 0.750
0.250 0.750 0.250
0.250 0.750 0.750
0.750 0.250 0.250
0.750 0.250 0.750
0.750 0.750 0.250
0.750 0.750 0.750
0.000 0.500 0.500
0.500 0.000 0.500
0.500 0.500 0.000
0.500 0.500 0.500
```

Top 8 peaks for 15 to 90 degrees two-theta, low angle first:
2theta	I_rel
25.7	1.6
29.8	7.5
33.4	2.5
42.6	100.0
52.9	2.2
61.9	15.6
70.2	2.9
78.0	30.7

---

[2]
ZrZnFeSb: theoretical XRD peak list (Cu Kα, 1.54184 Å), based on DFT lattice parameters and positions (PBE).
Kinematic intensities with the Lorentz-polarization factor, no thermal factor.

Structure:
```
ZrZnFeSb
1.0
0.000 3.242 3.242
3.242 0.000 3.242
3.242 3.242 0.000
Zr Zn Fe Sb
1 1 1 1
Direct
0.000 0.000 0.000
0.250 0.250 0.250
0.750 0.750 0.750
0.500 0.500 0.500
```

Top 8 peaks for 15 to 90 degrees two-theta, low angle first:
2theta	I_rel
23.8	1.8
27.5	7.6
39.3	100.0
48.6	2.2
56.8	16.4
64.2	2.9
71.3	32.2
84.5	10.1